No. 1
LiMn2P4H11O18: simulated powder X-ray diffraction pattern (Cu Kα (λ = 1.5418 Å)), based on the PBE+U geometry in the Materials Project.
Lines closer than 0.1° are merged.

Atomic structure:
a b c (Å): 5.440 6.172 11.976
angles (deg): 75.09 83.62 66.38
Element x y z (fractional)
1 Li 0.000 0.000 0.000
2 Mn 0.523 0.714 0.563
3 Mn 0.535 0.306 0.367
4 P 0.026 0.798 0.373
5 P 0.029 0.221 0.558
6 P 0.367 0.395 0.830
7 P 0.671 0.645 0.099
8 H 0.002 0.502 0.975
9 H 0.163 0.089 0.266
10 H 0.164 0.430 0.648
11 H 0.279 0.330 0.161
12 H 0.509 0.028 0.946
13 H 0.513 0.074 0.168
14 H 0.517 0.514 0.960
15 H 0.537 0.940 0.757
16 H 0.783 0.690 0.767
17 H 0.890 0.592 0.279
18 H 0.897 0.934 0.668
19 O 0.063 0.606 0.299
20 O 0.063 0.972 0.648
21 O 0.091 0.567 0.862
22 O 0.283 0.687 0.442
23 O 0.295 0.157 0.493
24 O 0.384 0.118 0.876
25 O 0.393 0.185 0.216
26 O 0.419 0.437 0.700
27 O 0.425 0.657 0.040
28 O 0.596 0.399 0.898
29 O 0.654 0.572 0.232
30 O 0.663 0.831 0.710
31 O 0.699 0.896 0.057
32 O 0.758 0.863 0.435
33 O 0.769 0.328 0.492
34 O 0.937 0.444 0.061
35 O 0.993 0.417 0.629
36 O 0.997 0.049 0.286

Principal peaks in the range 2θ from 10° to 90°, in order of falling intensity:
| 2θ/deg | I/Imax | index |
| --- | --- | --- |
| 26.78 | 100.0 | 1 1 -2 |
| 21.70 | 93.6 | 1 1 2 |
| 30.63 | 45.0 | -1 1 2 |
| 26.63 | 42.8 | 1 1 3 |
| 16.12 | 34.8 | 0 1 0 |
| 19.48 | 33.4 | 1 0 -1 |
| 35.27 | 27.9 | 0 2 -1 |
| 37.72 | 25.6 | 1 2 -2 |
| 28.47 | 25.2 | 1 -1 0 |
| 48.43 | 23.3 | 2 0 -4 |

No. 2
LiMnP3H8O13: simulated powder X-ray diffraction pattern (Cu Kα (λ = 1.5418 Å)), based on the PBE+U geometry in the Materials Project.
Lines closer than 0.1° are merged.

Atomic structure:
a b c (Å): 7.362 7.828 10.140
angles (deg): 84.05 74.47 76.64
Element x y z (fractional)
1 Li 0.196 0.183 0.236
2 Li 0.804 0.817 0.764
3 Mn 0.000 0.000 0.000
4 Mn 0.000 0.500 0.500
5 P 0.245 0.806 0.477
6 P 0.332 0.806 0.743
7 P 0.409 0.543 0.271
8 P 0.591 0.457 0.729
9 P 0.668 0.194 0.257
10 P 0.755 0.194 0.523
11 H 0.075 0.264 0.793
12 H 0.097 0.642 0.088
13 H 0.148 0.348 0.992
14 H 0.190 0.176 0.570
15 H 0.312 0.299 0.603
16 H 0.317 0.865 0.102
17 H 0.347 0.379 0.995
18 H 0.372 0.967 0.961
19 H 0.628 0.033 0.039
20 H 0.653 0.621 0.005
21 H 0.683 0.135 0.898
22 H 0.688 0.701 0.397
23 H 0.810 0.824 0.430
24 H 0.852 0.652 0.008
25 H 0.903 0.358 0.912
26 H 0.925 0.736 0.207
27 O 0.018 0.260 0.894
28 O 0.094 0.708 0.559
29 O 0.121 0.855 0.815
30 O 0.179 0.282 0.617
31 O 0.195 0.960 0.385
32 O 0.213 0.388 0.052
33 O 0.245 0.450 0.329
34 O 0.279 0.980 0.053
35 O 0.358 0.858 0.580
36 O 0.386 0.592 0.746
37 O 0.414 0.653 0.140
38 O 0.427 0.659 0.391
39 O 0.475 0.878 0.789
40 O 0.525 0.122 0.211
41 O 0.573 0.341 0.609
42 O 0.586 0.347 0.860
43 O 0.614 0.408 0.254
44 O 0.642 0.142 0.420
45 O 0.721 0.020 0.947
46 O 0.755 0.550 0.671
47 O 0.787 0.612 0.948
48 O 0.805 0.040 0.615
49 O 0.821 0.718 0.383
50 O 0.879 0.145 0.185
51 O 0.906 0.292 0.441
52 O 0.982 0.740 0.106

Principal peaks in the range 2θ from 10° to 90°, in order of falling intensity:
| 2θ/deg | I/Imax | index |
| --- | --- | --- |
| 15.36 | 100.0 | 1 1 0 |
| 19.43 | 70.1 | 1 0 2 |
| 19.93 | 56.1 | 1 -1 1 |
| 15.08 | 55.1 | 0 1 -1 |
| 24.82 | 49.6 | 1 0 -2 |
| 31.20 | 36.6 | -1 2 1 |
| 25.89 | 31.0 | 2 1 0 |
| 29.80 | 30.9 | 1 -2 1 |
| 25.51 | 28.3 | 0 2 -1 |
| 27.65 | 23.0 | 1 2 2 |

No. 3
Li2MnP2HO8: simulated powder X-ray diffraction pattern (Cu Kα (λ = 1.5418 Å)), based on the PBE+U geometry in the Materials Project.
Lines closer than 0.1° are merged.

Atomic structure:
a b c (Å): 4.772 8.326 7.618
angles (deg): 90.00 104.42 90.00
Element x y z (fractional)
1 Li 0.137 0.000 0.098
2 Li 0.352 0.729 0.406
3 Li 0.648 0.229 0.594
4 Li 0.863 0.500 0.902
5 Mn 0.250 0.366 0.254
6 Mn 0.750 0.866 0.746
7 P 0.121 0.012 0.487
8 P 0.377 0.717 0.005
9 P 0.623 0.217 0.995
10 P 0.879 0.512 0.513
11 H 0.283 0.355 0.763
12 H 0.717 0.855 0.237
13 O 0.008 0.424 0.693
14 O 0.104 0.534 0.396
15 O 0.134 0.832 0.907
16 O 0.239 0.177 0.453
17 O 0.263 0.555 0.049
18 O 0.366 0.899 0.592
19 O 0.391 0.199 0.104
20 O 0.497 0.306 0.808
21 O 0.503 0.806 0.192
22 O 0.609 0.699 0.896
23 O 0.634 0.399 0.408
24 O 0.737 0.055 0.951
25 O 0.761 0.677 0.547
26 O 0.866 0.332 0.093
27 O 0.896 0.034 0.604
28 O 0.992 0.924 0.307

Principal peaks in the range 2θ from 10° to 90°, in order of falling intensity:
| 2θ/deg | I/Imax | index |
| --- | --- | --- |
| 29.01 | 100.0 | 1 1 -2 |
| 25.16 | 96.5 | 1 0 1 |
| 16.05 | 91.4 | 0 1 1 |
| 24.55 | 68.8 | 0 2 1 |
| 32.43 | 68.6 | 0 2 2 |
| 28.86 | 60.2 | 1 2 0 |
| 22.67 | 49.9 | 1 1 -1 |
| 42.49 | 29.4 | 1 3 -2 |
| 29.39 | 27.2 | 1 2 -1 |
| 21.34 | 26.0 | 0 2 0 |

No. 4
LiMnP2H5O9: simulated powder X-ray diffraction pattern (Cu Kα (λ = 1.5418 Å)), based on the PBE+U geometry in the Materials Project.
Lines closer than 0.1° are merged.

Atomic structure:
a b c (Å): 7.680 7.700 7.817
angles (deg): 64.74 84.04 72.41
Element x y z (fractional)
1 Li 0.151 0.281 0.228
2 Li 0.849 0.719 0.772
3 Mn 0.261 0.725 0.039
4 Mn 0.739 0.275 0.961
5 P 0.087 0.183 0.730
6 P 0.366 0.541 0.743
7 P 0.634 0.459 0.257
8 P 0.913 0.817 0.270
9 H 0.138 0.795 0.428
10 H 0.202 0.426 0.545
11 H 0.434 0.844 0.278
12 H 0.462 0.802 0.548
13 H 0.468 0.005 0.730
14 H 0.532 0.995 0.270
15 H 0.538 0.198 0.452
16 H 0.566 0.156 0.722
17 H 0.798 0.574 0.455
18 H 0.862 0.205 0.572
19 O 0.023 0.681 0.176
20 O 0.043 0.911 0.329
21 O 0.165 0.310 0.537
22 O 0.243 0.012 0.855
23 O 0.243 0.548 0.911
24 O 0.253 0.590 0.568
25 O 0.421 0.952 0.323
26 O 0.471 0.708 0.689
27 O 0.487 0.663 0.196
28 O 0.513 0.337 0.804
29 O 0.529 0.292 0.311
30 O 0.579 0.048 0.677
31 O 0.747 0.410 0.432
32 O 0.757 0.452 0.089
33 O 0.757 0.988 0.145
34 O 0.835 0.690 0.463
35 O 0.957 0.089 0.671
36 O 0.977 0.319 0.824

Principal peaks in the range 2θ from 10° to 90°, in order of falling intensity:
| 2θ/deg | I/Imax | index |
| --- | --- | --- |
| 15.19 | 100.0 | 1 1 0 |
| 16.07 | 78.7 | 1 1 1 |
| 27.54 | 65.6 | -1 1 2 |
| 27.00 | 58.2 | 1 -1 1 |
| 27.75 | 44.4 | 1 2 2 |
| 13.95 | 32.9 | 0 1 1 |
| 28.11 | 30.9 | 0 2 2 |
| 31.07 | 30.9 | 2 -1 0 |
| 35.84 | 28.9 | 2 0 2 |
| 34.77 | 28.4 | 2 0 -2 |

What did the first record say?
LiMn2P4H11O18: simulated powder X-ray diffraction pattern (Cu Kα (λ = 1.5418 Å)), based on the PBE+U geometry in the Materials Project.
Lines closer than 0.1° are merged.

Atomic structure:
a b c (Å): 5.440 6.172 11.976
angles (deg): 75.09 83.62 66.38
Element x y z (fractional)
1 Li 0.000 0.000 0.000
2 Mn 0.523 0.714 0.563
3 Mn 0.535 0.306 0.367
4 P 0.026 0.798 0.373
5 P 0.029 0.221 0.558
6 P 0.367 0.395 0.830
7 P 0.671 0.645 0.099
8 H 0.002 0.502 0.975
9 H 0.163 0.089 0.266
10 H 0.164 0.430 0.648
11 H 0.279 0.330 0.161
12 H 0.509 0.028 0.946
13 H 0.513 0.074 0.168
14 H 0.517 0.514 0.960
15 H 0.537 0.940 0.757
16 H 0.783 0.690 0.767
17 H 0.890 0.592 0.279
18 H 0.897 0.934 0.668
19 O 0.063 0.606 0.299
20 O 0.063 0.972 0.648
21 O 0.091 0.567 0.862
22 O 0.283 0.687 0.442
23 O 0.295 0.157 0.493
24 O 0.384 0.118 0.876
25 O 0.393 0.185 0.216
26 O 0.419 0.437 0.700
27 O 0.425 0.657 0.040
28 O 0.596 0.399 0.898
29 O 0.654 0.572 0.232
30 O 0.663 0.831 0.710
31 O 0.699 0.896 0.057
32 O 0.758 0.863 0.435
33 O 0.769 0.328 0.492
34 O 0.937 0.444 0.061
35 O 0.993 0.417 0.629
36 O 0.997 0.049 0.286

Principal peaks in the range 2θ from 10° to 90°, in order of falling intensity:
| 2θ/deg | I/Imax | index |
| --- | --- | --- |
| 26.78 | 100.0 | 1 1 -2 |
| 21.70 | 93.6 | 1 1 2 |
| 30.63 | 45.0 | -1 1 2 |
| 26.63 | 42.8 | 1 1 3 |
| 16.12 | 34.8 | 0 1 0 |
| 19.48 | 33.4 | 1 0 -1 |
| 35.27 | 27.9 | 0 2 -1 |
| 37.72 | 25.6 | 1 2 -2 |
| 28.47 | 25.2 | 1 -1 0 |
| 48.43 | 23.3 | 2 0 -4 |